(1)
Starting from a cell relaxed with PBE, the powder X-ray diffraction pattern of Na2Tl7Pb was simulated for Cu Kα X-rays.
Lines closer than 0.1° are merged.

Structural model:
Cell: 5.426 5.426 12.635 Å, 90.00 90.00 120.00°
Atoms (fractional coordinates):
Na  0.000  0.000  0.000
Na  0.333  0.667  0.580
Tl  0.000  0.000  0.246
Tl  0.000  0.000  0.500
Tl  0.000  0.000  0.758
Tl  0.333  0.667  0.295
Tl  0.333  0.667  0.863
Tl  0.667  0.333  0.125
Tl  0.667  0.333  0.683
Pb  0.667  0.333  0.395

The 10 most intense peaks (10 to 90 degrees two-theta), low angle first:
2θ (°)	intensity
14.02	199
23.60	261
28.46	448
33.01	1000
34.20	712
44.13	139
48.27	275
58.96	203
59.73	293
79.56	147

***

(2)
Starting from a cell relaxed with PBE, the powder X-ray diffraction pattern of Na3Ag2Sn3 was simulated for Cu Kα X-rays.
Lines closer than 0.1° are merged.

Structural model:
Cell: 6.019 6.019 15.468 Å, 90.00 90.00 132.40°
Atoms (fractional coordinates):
Na  0.075  0.925  0.612
Na  0.075  0.925  0.888
Na  0.335  0.665  0.750
Na  0.665  0.335  0.250
Na  0.925  0.075  0.112
Na  0.925  0.075  0.388
Ag  0.220  0.780  0.105
Ag  0.220  0.780  0.395
Ag  0.780  0.220  0.605
Ag  0.780  0.220  0.895
Sn  0.374  0.626  0.250
Sn  0.382  0.618  0.546
Sn  0.382  0.618  0.954
Sn  0.618  0.382  0.046
Sn  0.618  0.382  0.454
Sn  0.626  0.374  0.750

The 10 most intense peaks (10 to 90 degrees two-theta), low angle first:
2θ (°)	intensity
11.44	271
19.98	368
20.80	369
23.64	729
30.65	455
35.24	1000
37.01	521
38.56	325
44.39	284
45.86	407

***

(3)
Starting from a cell relaxed with PBE, the powder X-ray diffraction pattern of RbBe2H6 was simulated for Cu Kα X-rays.
Lines closer than 0.1° are merged.

Structural model:
Cell: 3.152 4.512 6.211 Å, 104.80 90.12 90.06°
Atoms (fractional coordinates):
Rb  0.000  0.000  0.000
Be  0.499  0.405  0.635
Be  0.501  0.595  0.365
H  0.001  0.657  0.317
H  0.499  0.458  0.913
H  0.500  0.275  0.388
H  0.500  0.725  0.612
H  0.501  0.542  0.087
H  0.999  0.343  0.683

The 10 most intense peaks (10 to 90 degrees two-theta), low angle first:
2θ (°)	intensity
14.75	1000
20.36	395
21.91	531
28.19	376
29.75	242
31.56	247
32.07	479
35.12	414
36.09	280
53.72	223

***

(4)
Starting from a cell relaxed with PBE, the powder X-ray diffraction pattern of As8Pb was simulated for Cu Kα X-rays.
Lines closer than 0.1° are merged.

Structural model:
Cell: 6.921 6.921 6.921 Å, 96.29 96.29 141.35°
Atoms (fractional coordinates):
As  0.000  0.348  0.348
As  0.000  0.652  0.652
As  0.301  0.301  0.602
As  0.301  0.699  0.000
As  0.348  0.000  0.348
As  0.652  0.000  0.652
As  0.699  0.301  0.000
As  0.699  0.699  0.398
Pb  0.000  0.000  0.000

The 10 most intense peaks (10 to 90 degrees two-theta), low angle first:
2θ (°)	intensity
21.66	167
27.31	146
29.11	110
35.12	1000
39.34	213
41.48	274
57.37	126
58.49	198
68.61	141
71.56	144

***

(5)
Starting from a cell relaxed with PBE, the powder X-ray diffraction pattern of Cs3SrBr6 was simulated for Cu Kα X-rays.
Lines closer than 0.1° are merged.

Structural model:
Cell: 9.088 9.088 9.088 Å, 60.00 60.00 60.00°
Atoms (fractional coordinates):
Cs  0.000  0.000  0.000
Cs  0.250  0.250  0.250
Cs  0.750  0.750  0.750
Sr  0.500  0.500  0.500
Br  0.267  0.267  0.733
Br  0.267  0.733  0.267
Br  0.267  0.733  0.733
Br  0.733  0.267  0.267
Br  0.733  0.267  0.733
Br  0.733  0.733  0.267

The 10 most intense peaks (10 to 90 degrees two-theta), low angle first:
2θ (°)	intensity
19.54	524
23.99	583
27.76	1000
34.18	235
39.67	731
46.89	247
49.11	252
53.34	155
64.89	309
71.99	222

***

(6)
Starting from a cell relaxed with PBE, the powder X-ray diffraction pattern of Li3ErSi3 was simulated for Cu Kα X-rays.
Lines closer than 0.1° are merged.

Structural model:
Cell: 6.487 6.487 6.487 Å, 90.00 90.00 90.00°
Atoms (fractional coordinates):
Li  0.000  0.250  0.500
Li  0.000  0.750  0.500
Li  0.250  0.500  0.000
Li  0.500  0.000  0.250
Li  0.500  0.000  0.750
Li  0.750  0.500  0.000
Er  0.000  0.000  0.000
Er  0.500  0.500  0.500
Si  0.000  0.500  0.250
Si  0.000  0.500  0.750
Si  0.250  0.000  0.500
Si  0.500  0.250  0.000
Si  0.500  0.750  0.000
Si  0.750  0.000  0.500

The 10 most intense peaks (10 to 90 degrees two-theta), low angle first:
2θ (°)	intensity
19.35	835
27.50	433
33.85	1000
39.28	146
44.15	212
52.80	564
64.21	157
67.75	134
74.60	136
81.22	163

***

(7)
Starting from a cell relaxed with PBE, the powder X-ray diffraction pattern of Fe8Re3Ru was simulated for Cu Kα X-rays.
Lines closer than 0.1° are merged.

Structural model:
Cell: 4.648 4.648 7.619 Å, 90.00 90.00 120.00°
Atoms (fractional coordinates):
Fe  0.000  0.000  0.000
Fe  0.000  0.000  0.499
Fe  0.170  0.339  0.748
Fe  0.170  0.830  0.748
Fe  0.340  0.170  0.249
Fe  0.661  0.830  0.748
Fe  0.830  0.170  0.249
Fe  0.830  0.660  0.249
Re  0.333  0.667  0.062
Re  0.333  0.667  0.433
Re  0.667  0.333  0.935
Ru  0.667  0.333  0.560

The 10 most intense peaks (10 to 90 degrees two-theta), low angle first:
2θ (°)	intensity
22.08	183
25.02	175
38.74	666
42.07	1000
45.73	920
46.68	508
72.41	380
75.05	204
78.78	249
83.12	202

***

(8)
Starting from a cell relaxed with PBE, the powder X-ray diffraction pattern of B3Mo2 was simulated for Cu Kα X-rays.
Lines closer than 0.1° are merged.

Structural model:
Cell: 5.631 5.631 5.631 Å, 148.62 148.02 45.42°
Atoms (fractional coordinates):
B  0.000  0.000  0.000
B  0.172  0.172  0.000
B  0.909  0.409  0.500
Mo  0.333  0.833  0.500
Mo  0.587  0.587  0.000

The 10 most intense peaks (10 to 90 degrees two-theta), low angle first:
2θ (°)	intensity
30.06	522
30.59	574
34.53	435
38.98	400
39.40	285
45.23	1000
53.04	136
53.38	186
59.60	116
69.37	291

***

(9)
Starting from a cell relaxed with PBE, the powder X-ray diffraction pattern of Ca2TmZn2Pd5 was simulated for Cu Kα X-rays.
Lines closer than 0.1° are merged.

Structural model:
Cell: 10.144 10.144 3.710 Å, 90.00 90.00 90.00°
Atoms (fractional coordinates):
Ca  0.174  0.326  0.000
Ca  0.326  0.826  0.000
Ca  0.674  0.174  0.000
Ca  0.826  0.674  0.000
Tm  0.000  0.000  0.000
Tm  0.500  0.500  0.000
Zn  0.123  0.623  0.000
Zn  0.377  0.123  0.000
Zn  0.623  0.877  0.000
Zn  0.877  0.377  0.000
Pd  0.000  0.500  0.500
Pd  0.068  0.791  0.500
Pd  0.209  0.068  0.500
Pd  0.291  0.568  0.500
Pd  0.432  0.291  0.500
Pd  0.500  0.000  0.500
Pd  0.568  0.709  0.500
Pd  0.709  0.432  0.500
Pd  0.791  0.932  0.500
Pd  0.932  0.209  0.500

The 10 most intense peaks (10 to 90 degrees two-theta), low angle first:
2θ (°)	intensity
17.48	212
19.57	226
34.79	261
36.52	265
37.05	1000
39.74	241
40.23	347
49.11	188
64.96	149
70.36	163

***

(10)
Starting from a cell relaxed with PBE, the powder X-ray diffraction pattern of Sc2Cd5Pd was simulated for Cu Kα X-rays.
Lines closer than 0.1° are merged.

Structural model:
Cell: 8.477 8.477 8.477 Å, 33.47 33.47 33.47°
Atoms (fractional coordinates):
Sc  0.120  0.120  0.120
Sc  0.880  0.880  0.880
Cd  0.249  0.249  0.249
Cd  0.371  0.371  0.371
Cd  0.500  0.500  0.500
Cd  0.629  0.629  0.629
Cd  0.751  0.751  0.751
Pd  0.000  0.000  0.000

The 10 most intense peaks (10 to 90 degrees two-theta), low angle first:
2θ (°)	intensity
11.07	51
25.78	39
36.78	1000
53.00	166
66.14	78
66.29	246
78.17	48
78.33	51
89.68	70
89.80	74

***

(11)
Starting from a cell relaxed with PBE, the powder X-ray diffraction pattern of Er3Be2Pt5 was simulated for Cu Kα X-rays.
Lines closer than 0.1° are merged.

Structural model:
Cell: 9.638 9.638 3.655 Å, 90.00 90.00 90.00°
Atoms (fractional coordinates):
Er  0.000  0.000  0.000
Er  0.177  0.323  0.000
Er  0.323  0.823  0.000
Er  0.500  0.500  0.000
Er  0.677  0.177  0.000
Er  0.823  0.677  0.000
Be  0.116  0.616  0.000
Be  0.384  0.116  0.000
Be  0.616  0.884  0.000
Be  0.884  0.384  0.000
Pt  0.000  0.500  0.500
Pt  0.071  0.778  0.500
Pt  0.222  0.071  0.500
Pt  0.278  0.571  0.500
Pt  0.429  0.278  0.500
Pt  0.500  0.000  0.500
Pt  0.571  0.722  0.500
Pt  0.722  0.429  0.500
Pt  0.778  0.929  0.500
Pt  0.929  0.222  0.500

The 10 most intense peaks (10 to 90 degrees two-theta), low angle first:
2θ (°)	intensity
24.35	109
32.11	472
36.04	243
38.48	1000
41.89	452
49.91	175
64.75	175
67.16	119
67.27	112
74.26	139

***

(12)
Starting from a cell relaxed with PBE, the powder X-ray diffraction pattern of HgHSF was simulated for Cu Kα X-rays.
Lines closer than 0.1° are merged.

Structural model:
Cell: 4.338 4.338 4.402 Å, 94.33 94.33 69.16°
Atoms (fractional coordinates):
Hg  0.000  0.000  0.000
H  0.334  0.334  0.647
S  0.350  0.350  0.955
F  0.881  0.881  0.469

The 10 most intense peaks (10 to 90 degrees two-theta), low angle first:
2θ (°)	intensity
20.26	724
21.95	1000
25.04	382
29.24	330
30.86	617
36.49	241
42.09	226
42.31	241
45.68	224
57.69	211

***

(13)
Starting from a cell relaxed with PBE, the powder X-ray diffraction pattern of Ba2YB2ClO6 was simulated for Cu Kα X-rays.
Lines closer than 0.1° are merged.

Structural model:
Cell: 6.480 5.355 11.532 Å, 90.00 95.76 90.00°
Atoms (fractional coordinates):
Ba  0.094  0.250  0.207
Ba  0.342  0.250  0.576
Ba  0.658  0.750  0.424
Ba  0.906  0.750  0.793
Y  0.347  0.250  0.913
Y  0.653  0.750  0.087
B  0.209  0.750  0.073
B  0.378  0.750  0.726
B  0.622  0.250  0.274
B  0.791  0.250  0.927
Cl  0.149  0.750  0.416
Cl  0.851  0.250  0.584
O  0.008  0.750  0.097
O  0.294  0.528  0.763
O  0.294  0.972  0.763
O  0.323  0.530  0.064
O  0.323  0.970  0.064
O  0.476  0.250  0.354
O  0.524  0.750  0.646
O  0.677  0.030  0.936
O  0.677  0.470  0.936
O  0.706  0.028  0.237
O  0.706  0.472  0.237
O  0.992  0.250  0.903

The 10 most intense peaks (10 to 90 degrees two-theta), low angle first:
2θ (°)	intensity
21.57	542
21.74	236
22.46	189
25.86	219
27.99	254
28.68	1000
33.47	313
34.82	183
37.33	221
42.79	273